Calculated powder X-ray diffraction pattern
Compound: Mn5O8
Radiation: Cu Kα, 1.54184 Å
Structure: a cell relaxed with PBE+U
Peak positions follow from Bragg's law for the DFT cell and can differ from measured ones.

a = 10.4867 Å, b = 5.8611 Å, c = 4.9755 Å
α = 90.00°, β = 109.42°, γ = 90.00°
Space group C2/m (No. 12)
Asymmetric unit:
Mn 0.0000 0.0000 0.0000
Mn 0.0000 0.2588 0.5000
Mn 0.2205 0.5000 0.1556
O 0.1034 0.0000 0.4100
O 0.1057 0.5000 0.4308
O 0.1118 0.2260 0.8959

Principal peaks in the range 2θ = 10–90°, in order of rising 2θ:
17.9°, d = 4.945 Å, I = 59, (2 0 0)
21.3°, d = 4.165 Å, I = 41, (2 0 -1)
28.1°, d = 3.177 Å, I = 100, (1 1 1)
30.3°, d = 2.949 Å, I = 37, (2 0 1)
31.1°, d = 2.873 Å, I = 36, (3 1 0)
31.4°, d = 2.845 Å, I = 89, (3 1 -1)
35.6°, d = 2.521 Å, I = 53, (2 2 0)
37.5°, d = 2.397 Å, I = 68, (2 2 -1)
47.1°, d = 1.931 Å, I = 69, (4 2 -1)
48.1°, d = 1.890 Å, I = 38, (2 0 2)
57.0°, d = 1.616 Å, I = 59, (4 2 1)
64.6°, d = 1.443 Å, I = 49, (2 2 -3)